Diffraction record for Cs2SeS. The PXRD pattern is theoretical, not measured: it uses a cell relaxed with PBE and Cu Kα X-rays.
Peak positions follow from Bragg's law for the DFT cell and can differ from measured ones.

The 8 most intense peaks (2θ from 10° to 90°), sorted by position:
2θ/deg  d_spacing  I (rel.)  (hkl)
19.3  4.588  69.3  0 1 2
20.7  4.282  78.8  2 0 0
26.6  3.356  78.1  2 1 -2
27.5  3.245  80.8  0 0 4
28.3  3.150  46.2  1 1 3
29.8  2.997  62.5  1 2 -1
30.3  2.945  100.0  2 1 2
31.4  2.852  55.3  2 0 -4

Atomic structure:
```
data_Cs2SeS
_cell_length_a 8.7130
_cell_length_b 6.4862
_cell_length_c 13.2077
_cell_angle_alpha 90.00
_cell_angle_beta 100.61
_cell_angle_gamma 90.00
_space_group_name_H-M_alt 'P 1 21/c 1'
_space_group_IT_number 14
_space_group_name_Hall '-P 2ybc'
loop_
_atom_site_label
_atom_site_fract_x
_atom_site_fract_y
_atom_site_fract_z
_atom_site_occupancy
Cs1 0.0043 0.2079 0.1152 1
Cs2 0.4862 0.6256 0.8503 1
Se1 0.3399 0.6236 0.5759 1
S1 0.1708 0.7040 0.1584 1
```

Diffraction record for RbNaCoI4. The PXRD pattern is theoretical, not measured: it uses a cell relaxed with PBE and Cu Kα X-rays.
Peak positions follow from Bragg's law for the DFT cell and can differ from measured ones.

The 8 most intense peaks (2θ from 10° to 90°), sorted by position:
2θ/deg  d_spacing  I (rel.)  (hkl)
24.9  3.572  100.0  1 2 0
25.6  3.473  45.2  1 0 2
26.2  3.406  39.4  2 0 -2
27.9  3.200  36.7  1 1 2
28.4  3.147  31.0  2 1 -2
28.9  3.094  38.1  0 2 2
29.0  3.078  34.3  1 2 -2
44.0  2.057  25.3  0 4 0

Atomic structure:
```
data_RbNaCoI4
_cell_length_a 7.5642
_cell_length_b 8.2281
_cell_length_c 9.8642
_cell_angle_alpha 90.00
_cell_angle_beta 107.90
_cell_angle_gamma 90.00
_space_group_name_H-M_alt 'P 1 21/m 1'
_space_group_IT_number 11
_space_group_name_Hall '-P 2yb'
loop_
_atom_site_label
_atom_site_fract_x
_atom_site_fract_y
_atom_site_fract_z
_atom_site_occupancy
Rb1 0.2407 0.2500 0.0615 1
Na1 0.2320 0.2500 0.5614 1
Co1 0.2144 0.7500 0.3178 1
I1 0.0069 0.0024 0.7240 1
I2 0.4015 0.7500 0.1379 1
I3 0.4371 0.7500 0.5728 1
```